Entry 1:
Calculated powder diffractogram of La2Ho2CICl4 for CuKα, from a PBE-relaxed structure.
Neutral-atom scattering factors, no anomalous dispersion.

Peak list (10 most intense, 5° ≤ 2θ ≤ 70°, in order of rising 2θ)
d (Å)	Rel. int.
8.848	98
8.377	55
5.448	25
4.209	27
3.163	26
2.974	100
2.888	35
2.792	42
2.400	24
2.047	23

Atomic structure:
```
La2Ho2CICl4
1.0
8.6446 -1.9597 0.0000
8.6446 1.9597 0.0000
-2.2550 0.0000 8.8477
La Ho C I Cl
2 2 1 1 4
direct
0.0006 0.0006 0.1974
0.9994 0.9994 0.8026
0.3570 0.3570 0.9316
0.6430 0.6430 0.0684
0.5000 0.5000 0.0000
0.5000 0.5000 0.5000
0.1752 0.1752 0.2797
0.1759 0.1759 0.8794
0.8241 0.8241 0.1206
0.8248 0.8248 0.7203
```

=====

Entry 2:
Calculated powder diffractogram of Pr2Ho2CI2Cl3 for CuKα, from a PBE-relaxed structure.
Neutral-atom scattering factors, no anomalous dispersion.

Peak list (10 most intense, 5° ≤ 2θ ≤ 70°, in order of rising 2θ)
d (Å)	Rel. int.
8.149	44
6.648	36
4.270	28
3.003	34
2.951	35
2.846	100
2.790	20
2.653	47
2.104	19
2.029	23

Atomic structure:
```
Pr2Ho2CI2Cl3
1.0
9.1498 -1.9624 0.0000
9.1498 1.9624 0.0000
-1.4431 0.0000 8.1492
Pr Ho C I Cl
2 2 1 2 3
direct
0.0046 0.0046 0.2876
0.9954 0.9954 0.7124
0.3681 0.3681 0.4413
0.6319 0.6319 0.5587
0.5000 0.5000 0.5000
0.1713 0.1713 0.8395
0.8287 0.8287 0.1605
0.1691 0.1691 0.3575
0.5000 0.5000 0.0000
0.8309 0.8309 0.6425
```

=====

Entry 3:
Calculated powder diffractogram of Ho2Sc2CI4Cl for CuKα, from a PBE-relaxed structure.
Neutral-atom scattering factors, no anomalous dispersion.

Peak list (10 most intense, 5° ≤ 2θ ≤ 70°, in order of rising 2θ)
d (Å)	Rel. int.
9.997	45
3.902	47
3.731	52
3.332	50
2.748	100
2.283	30
2.123	24
2.117	25
1.899	15
1.706	16

Atomic structure:
```
Ho2Sc2CI4Cl
1.0
10.1851 -1.8989 0.0000
10.1851 1.8989 0.0000
-1.5215 0.0000 7.8091
Ho Sc C I Cl
2 2 1 4 1
direct
0.0000 0.0000 0.2061
0.0000 0.0000 0.7939
0.3884 0.3884 0.9452
0.6116 0.6116 0.0548
0.5000 0.5000 0.0000
0.1537 0.1537 0.3317
0.1542 0.1542 0.8192
0.8458 0.8458 0.1808
0.8463 0.8463 0.6683
0.5000 0.5000 0.5000
```